[1]
This entry pairs a crystal structure of PrNd2N3 with its calculated PXRD pattern. Radiation: a wavelength of 1.5418 Å. Structure: a DFT-relaxed cell (GGA-PBE, Alexandria).
Intensities are scaled so that the largest is 100.

a b c (Å): 3.6674 5.1790 10.9989
angles (deg): 90.00 90.00 90.00
Space group Immm (No. 71)
One atom of each set of equivalent atoms:
1 Pr 0.0000 0.0000 0.0000 x2
2 Nd 0.0000 0.0000 0.3331 x4
3 N 0.0000 0.5000 0.0000 x2
4 N 0.0000 0.5000 0.3318 x4

Principal peaks in the range 10° ≤ 2θ ≤ 90°, by intensity:
2θ = 29.86°, d = 2.993 Å, I 100.0
2θ = 34.61°, d = 2.592 Å, I 75.1
2θ = 49.75°, d = 1.833 Å, I 52.3
2θ = 59.11°, d = 1.563 Å, I 45.9
2θ = 80.82°, d = 1.189 Å, I 19.1
2θ = 62.02°, d = 1.496 Å, I 17.6
2θ = 83.35°, d = 1.159 Å, I 15.2
2θ = 83.45°, d = 1.158 Å, I 7.6
2θ = 72.98°, d = 1.296 Å, I 5.4
2θ = 73.08°, d = 1.295 Å, I 2.7



[2]
This entry pairs a crystal structure of PrNd3N3 with its calculated PXRD pattern. Radiation: a wavelength of 1.5418 Å. Structure: a DFT-relaxed cell (GGA-PBE, Alexandria).
Intensities are scaled so that the largest is 100.

a b c (Å): 5.1751 5.1751 5.1751
angles (deg): 90.00 90.00 90.00
Space group Pm-3m (No. 221)
One atom of each set of equivalent atoms:
1 Pr 0.0000 0.0000 0.0000 x1
2 Nd 0.0000 0.5000 0.5000 x3
3 N 0.0000 0.0000 0.5000 x3

Principal peaks in the range 10° ≤ 2θ ≤ 90°, by intensity:
2θ = 29.90°, d = 2.988 Å, I 100.0
2θ = 34.67°, d = 2.588 Å, I 68.0
2θ = 49.84°, d = 1.830 Å, I 47.7
2θ = 59.22°, d = 1.560 Å, I 45.2
2θ = 83.55°, d = 1.157 Å, I 20.9
2θ = 80.98°, d = 1.187 Å, I 18.6
2θ = 62.13°, d = 1.494 Å, I 16.1
2θ = 73.15°, d = 1.294 Å, I 7.4



[3]
This entry pairs a crystal structure of Pr12NdSn4N3 with its calculated PXRD pattern. Radiation: a wavelength of 1.5418 Å. Structure: a DFT-relaxed cell (GGA-PBE, Alexandria).
Intensities are scaled so that the largest is 100.

a b c (Å): 10.3416 10.3416 10.3416
angles (deg): 90.00 90.00 90.00
Space group Im-3m (No. 229)
One atom of each set of equivalent atoms:
1 Pr 0.0000 0.0000 0.2740 x12
2 Pr 0.0000 0.2500 0.5000 x12
3 Nd 0.0000 0.0000 0.0000 x2
4 Sn 0.2500 0.2500 0.2500 x8
5 N 0.0000 0.0000 0.5000 x6

Principal peaks in the range 10° ≤ 2θ ≤ 90°, by intensity:
2θ = 29.93°, d = 2.985 Å, I 100.0
2θ = 34.70°, d = 2.585 Å, I 71.2
2θ = 49.88°, d = 1.828 Å, I 48.7
2θ = 59.27°, d = 1.559 Å, I 40.0
2θ = 83.63°, d = 1.156 Å, I 19.7
2θ = 62.19°, d = 1.493 Å, I 16.0
2θ = 81.06°, d = 1.186 Å, I 15.0
2θ = 73.22°, d = 1.293 Å, I 7.2
2θ = 17.15°, d = 5.171 Å, I 6.5
2θ = 32.39°, d = 2.764 Å, I 6.4
2θ = 40.93°, d = 2.205 Å, I 5.1
2θ = 27.27°, d = 3.270 Å, I 4.4



[4]
This entry pairs a crystal structure of Pr2NdTc2N6 with its calculated PXRD pattern. Radiation: a wavelength of 1.5418 Å. Structure: a DFT-relaxed cell (GGA-PBE, Alexandria).
Intensities are scaled so that the largest is 100.

a b c (Å): 5.8013 5.8013 18.4761
angles (deg): 90.00 90.00 120.00
Space group R-3m (No. 166, hexagonal axes)
One atom of each set of equivalent atoms:
1 Pr 0.0000 0.0000 0.2080 x6
2 Nd 0.0000 0.0000 0.0000 x3
3 Tc 0.0000 0.0000 0.4037 x6
4 N 0.0073 0.5036 0.7666 x18

Principal peaks in the range 10° ≤ 2θ ≤ 90°, by intensity:
2θ = 30.02°, d = 2.977 Å, I 100.0
2θ = 30.83°, d = 2.901 Å, I 92.8
2θ = 43.57°, d = 2.077 Å, I 42.5
2θ = 54.32°, d = 1.689 Å, I 38.4
2θ = 54.81°, d = 1.675 Å, I 22.1
2θ = 52.79°, d = 1.734 Å, I 20.3
2θ = 71.21°, d = 1.324 Å, I 16.0
2θ = 72.50°, d = 1.304 Å, I 15.9
2θ = 64.22°, d = 1.450 Å, I 14.6
2θ = 62.39°, d = 1.488 Å, I 10.5
2θ = 89.36°, d = 1.096 Å, I 9.6
2θ = 87.73°, d = 1.113 Å, I 9.5



[5]
This entry pairs a crystal structure of PrNdWN4 with its calculated PXRD pattern. Radiation: a wavelength of 1.5418 Å. Structure: a DFT-relaxed cell (GGA-PBE, Alexandria).
Intensities are scaled so that the largest is 100.

a b c (Å): 3.9736 3.9736 12.6244
angles (deg): 90.00 90.00 90.00
Space group I4mm (No. 107)
One atom of each set of equivalent atoms:
1 Pr 0.0000 0.0000 0.0000 x2
2 Nd 0.0000 0.0000 0.7091 x2
3 W 0.0000 0.0000 0.3534 x2
4 N 0.0000 0.0000 0.1904 x2
5 N 0.0000 0.0000 0.5205 x2
6 N 0.0000 0.5000 0.3544 x4

Principal peaks in the range 10° ≤ 2θ ≤ 90°, by intensity:
2θ = 30.95°, d = 2.889 Å, I 100.0
2θ = 31.85°, d = 2.810 Å, I 58.5
2θ = 56.19°, d = 1.637 Å, I 38.6
2θ = 45.66°, d = 1.987 Å, I 26.4
2θ = 54.48°, d = 1.684 Å, I 17.5
2θ = 14.03°, d = 6.312 Å, I 14.4
2θ = 42.42°, d = 2.131 Å, I 13.3
2θ = 64.51°, d = 1.445 Å, I 12.5
2θ = 42.99°, d = 2.104 Å, I 10.9
2θ = 75.69°, d = 1.257 Å, I 9.8
2θ = 75.21°, d = 1.263 Å, I 8.3
2θ = 66.56°, d = 1.405 Å, I 8.3



[6]
This entry pairs a crystal structure of Nd12Pt6N with its calculated PXRD pattern. Radiation: a wavelength of 1.5418 Å. Structure: a DFT-relaxed cell (GGA-PBE, Alexandria).
Intensities are scaled so that the largest is 100.

a b c (Å): 12.5758 12.5758 12.1438
angles (deg): 90.00 90.00 120.00
Space group R-3 (No. 148, hexagonal axes)
One atom of each set of equivalent atoms:
1 Nd 0.0256 0.8103 0.3935 x18
2 Nd 0.0387 0.8497 0.8857 x18
3 Pt 0.0483 0.7777 0.6491 x18
4 N 0.0000 0.0000 0.0000 x3

Principal peaks in the range 10° ≤ 2θ ≤ 90°, by intensity:
2θ = 36.78°, d = 2.443 Å, I 100.0
2θ = 22.81°, d = 3.899 Å, I 87.2
2θ = 37.86°, d = 2.377 Å, I 85.5
2θ = 30.55°, d = 2.927 Å, I 69.3
2θ = 33.13°, d = 2.704 Å, I 61.0
2θ = 53.84°, d = 1.703 Å, I 34.1
2θ = 26.17°, d = 3.405 Å, I 31.6
2θ = 38.98°, d = 2.311 Å, I 27.5
2θ = 21.96°, d = 4.048 Å, I 26.0
2θ = 28.39°, d = 3.144 Å, I 23.7
2θ = 44.68°, d = 2.028 Å, I 22.5
2θ = 14.08°, d = 6.288 Å, I 21.8